Cr2O3: computed XRD peak list (Cu Ka), based on a cell relaxed with PBE+U.
Lines closer than 0.1° are merged.

Cell lengths 5.634, 5.634, 5.634 Å; angles 54.14, 54.14, 54.14 degrees
Atoms (fractional coordinates):
Cr1 0.000 0.000 0.000
Cr2 0.185 0.185 0.185
Cr3 0.372 0.372 0.372
Cr4 0.685 0.685 0.685
O1 0.075 0.798 0.402
O2 0.294 0.571 0.970
O3 0.402 0.075 0.798
O4 0.571 0.970 0.294
O5 0.798 0.402 0.075
O6 0.970 0.294 0.571

Peak list (12 most intense, 15 to 90 degrees two-theta, by intensity)
52.24°, d = 1.751 Å, I 100
34.99°, d = 2.564 Å, I 94
18.51°, d = 4.794 Å, I 86
39.87°, d = 2.261 Å, I 67
62.77°, d = 1.480 Å, I 42
32.03°, d = 2.794 Å, I 36
20.93°, d = 4.243 Å, I 33
37.25°, d = 2.414 Å, I 21
48.17°, d = 1.889 Å, I 19
85.99°, d = 1.130 Å, I 19
23.55°, d = 3.779 Å, I 18
60.91°, d = 1.521 Å, I 13